The following is a simulated X-ray powder pattern of PmNdPbSe. It was derived from a cell relaxed with PBE, using Cu Kα (weighted mean of Kα1 and Kα2).
No peak broadening, texture or thermal motion is included.

Peak list (10 most intense, 2θ from 10° to 90°, sorted by position)
two_theta  I (rel.)
14.18  7.7
20.16  6.6
28.64  100.0
40.95  76.9
50.73  27.7
59.35  8.7
67.06  12.0
67.19  23.9
74.50  8.9
74.61  17.8

Cell and atoms:
```
data_PmNdPbSe
_chemical_formula_sum 'Pm1 Nd1 Pb1 Se1'
_cell_length_a 4.405
_cell_length_b 4.405
_cell_length_c 6.244
_cell_angle_alpha 90.00
_cell_angle_beta 90.00
_cell_angle_gamma 90.00
_space_group_name_H-M_alt 'P 4/m m m'
_space_group_IT_number 123
_space_group_name_Hall '-P 4 2'
loop_
_atom_site_label
_atom_site_type_symbol
_atom_site_fract_x
_atom_site_fract_y
_atom_site_fract_z
Pm1 Pm 0.000 0.000 0.000
Nd1 Nd 0.500 0.500 0.500
Pb1 Pb 0.500 0.500 0.000
Se1 Se 0.000 0.000 0.500
```

=====

The following is a simulated X-ray powder pattern of La8SiIr2. It was derived from a cell relaxed with PBE, using Cu Kα (weighted mean of Kα1 and Kα2).
No peak broadening, texture or thermal motion is included.

Peak list (10 most intense, 2θ from 10° to 90°, sorted by position)
two_theta  I (rel.)
14.34  40.2
26.43  25.6
27.48  29.7
29.66  100.0
30.77  26.5
32.00  38.3
32.15  27.5
32.29  39.1
37.13  45.1
37.77  31.3

Cell and atoms:
```
data_La8SiIr2
_chemical_formula_sum 'La16 Si2 Ir4'
_cell_length_a 8.514
_cell_length_b 13.172
_cell_length_c 6.698
_cell_angle_alpha 90.00
_cell_angle_beta 112.72
_cell_angle_gamma 90.00
_space_group_name_H-M_alt 'C 1 m 1'
_space_group_IT_number 8
loop_
_space_group_symop_operation_xyz
'x,y,z'
'x,-y,z'
'x+1/2,y+1/2,z'
'x+1/2,-y+1/2,z'
loop_
_atom_site_label
_atom_site_type_symbol
_atom_site_fract_x
_atom_site_fract_y
_atom_site_fract_z
La1 La 0.000 0.000 0.000
La2 La 0.067 0.365 0.807
La3 La 0.121 0.136 0.567
La4 La 0.203 0.500 0.398
La5 La 0.342 0.201 0.185
Si1 Si 0.350 0.000 0.413
Ir1 Ir 0.346 0.314 0.701
```

=====

The following is a simulated X-ray powder pattern of K2BaNa2. It was derived from a cell relaxed with PBE, using Cu Kα (weighted mean of Kα1 and Kα2).
No peak broadening, texture or thermal motion is included.

Peak list (10 most intense, 2θ from 10° to 90°, sorted by position)
two_theta  I (rel.)
18.82  37.6
19.82  80.5
23.53  39.6
25.15  95.2
27.48  77.7
28.18  100.0
32.24  40.9
40.30  37.9
45.30  52.6
48.11  30.5

Cell and atoms:
```
data_K2BaNa2
_chemical_formula_sum 'K4 Ba2 Na4'
_cell_length_a 4.541
_cell_length_b 28.292
_cell_length_c 4.474
_cell_angle_alpha 90.00
_cell_angle_beta 90.00
_cell_angle_gamma 90.00
_space_group_name_H-M_alt 'C m m m'
_space_group_IT_number 65
_space_group_name_Hall '-C 2 2'
loop_
_atom_site_label
_atom_site_type_symbol
_atom_site_fract_x
_atom_site_fract_y
_atom_site_fract_z
K1 K 0.000 0.181 0.000
Ba1 Ba 0.000 0.000 0.000
Na1 Na 0.000 0.411 0.500
```

=====

The following is a simulated X-ray powder pattern of Ac6La2Tb3. It was derived from a cell relaxed with PBE, using Cu Kα (weighted mean of Kα1 and Kα2).
No peak broadening, texture or thermal motion is included.

Peak list (10 most intense, 2θ from 10° to 90°, sorted by position)
two_theta  I (rel.)
28.66  100.0
29.56  31.3
33.48  67.3
47.48  25.7
48.66  23.7
56.41  15.4
56.93  30.1
59.35  13.4
76.76  12.7
79.30  11.8

Cell and atoms:
```
data_Ac6La2Tb3
_chemical_formula_sum 'Ac12 La4 Tb6'
_cell_length_a 6.633
_cell_length_b 11.489
_cell_length_c 12.285
_cell_angle_alpha 90.00
_cell_angle_beta 100.31
_cell_angle_gamma 90.00
_space_group_name_H-M_alt 'C 1 2/m 1'
_space_group_IT_number 12
loop_
_space_group_symop_operation_xyz
'x,y,z'
'-x,-y,-z'
'-x,y,-z'
'x,-y,z'
'x+1/2,y+1/2,z'
'-x+1/2,-y+1/2,-z'
'-x+1/2,y+1/2,-z'
'x+1/2,-y+1/2,z'
loop_
_atom_site_label
_atom_site_type_symbol
_atom_site_fract_x
_atom_site_fract_y
_atom_site_fract_z
Ac1 Ac 0.248 0.000 0.248
Ac2 Ac 0.249 0.334 0.247
La1 La 0.000 0.333 0.500
Tb1 Tb 0.000 0.166 0.000
Tb2 Tb 0.000 0.500 0.000
```

=====

The following is a simulated X-ray powder pattern of Tm2B4Os3. It was derived from a cell relaxed with PBE, using Cu Kα (weighted mean of Kα1 and Kα2).
No peak broadening, texture or thermal motion is included.

Peak list (10 most intense, 2θ from 10° to 90°, sorted by position)
two_theta  I (rel.)
18.40  60.1
27.02  26.5
33.52  86.9
37.36  100.0
39.84  43.9
41.95  35.4
44.16  58.7
57.34  33.9
70.44  29.3
70.70  15.5

Cell and atoms:
```
data_Tm2B4Os3
_chemical_formula_sum 'Tm8 B16 Os12'
_cell_length_a 5.684
_cell_length_b 9.051
_cell_length_c 9.644
_cell_angle_alpha 90.00
_cell_angle_beta 90.00
_cell_angle_gamma 90.00
_space_group_name_H-M_alt 'F m m m'
_space_group_IT_number 69
_space_group_name_Hall '-F 2 2'
loop_
_atom_site_label
_atom_site_type_symbol
_atom_site_fract_x
_atom_site_fract_y
_atom_site_fract_z
Tm1 Tm 0.000 0.000 0.157
B1 B 0.000 0.215 0.334
Os1 Os 0.000 0.000 0.500
Os2 Os 0.250 0.250 0.000
```

=====

The following is a simulated X-ray powder pattern of LiInHgPb. It was derived from a cell relaxed with PBE, using Cu Kα (weighted mean of Kα1 and Kα2).
No peak broadening, texture or thermal motion is included.

Peak list (10 most intense, 2θ from 10° to 90°, sorted by position)
two_theta  I (rel.)
20.98  10.6
24.28  34.4
34.60  100.0
42.72  11.0
49.74  18.1
56.09  15.2
62.00  37.5
72.99  11.7
78.22  7.7
83.36  16.9

Cell and atoms:
```
data_LiInHgPb
_chemical_formula_sum 'Li4 In4 Hg4 Pb4'
_cell_length_a 7.332
_cell_length_b 7.332
_cell_length_c 7.332
_cell_angle_alpha 90.00
_cell_angle_beta 90.00
_cell_angle_gamma 90.00
_space_group_name_H-M_alt 'F -4 3 m'
_space_group_IT_number 216
_space_group_name_Hall 'F -4 2 3'
loop_
_atom_site_label
_atom_site_type_symbol
_atom_site_fract_x
_atom_site_fract_y
_atom_site_fract_z
Li1 Li 0.000 0.000 0.000
In1 In 0.000 0.000 0.500
Hg1 Hg 0.250 0.250 0.250
Pb1 Pb 0.250 0.250 0.750
```

=====

The following is a simulated X-ray powder pattern of Rb12Au5Br. It was derived from a cell relaxed with PBE, using Cu Kα (weighted mean of Kα1 and Kα2).
No peak broadening, texture or thermal motion is included.

Peak list (10 most intense, 2θ from 10° to 90°, sorted by position)
two_theta  I (rel.)
10.61  100.0
21.15  29.4
23.11  44.7
26.05  82.0
30.02  17.1
30.18  16.5
33.90  48.3
35.51  20.5
36.89  55.6
43.41  14.6

Cell and atoms:
```
data_Rb12Au5Br
_chemical_formula_sum 'Rb24 Au10 Br2'
_cell_length_a 8.462
_cell_length_b 15.169
_cell_length_c 16.674
_cell_angle_alpha 90.00
_cell_angle_beta 90.29
_cell_angle_gamma 90.00
_space_group_name_H-M_alt 'C 1 2/m 1'
_space_group_IT_number 12
loop_
_space_group_symop_operation_xyz
'x,y,z'
'-x,-y,-z'
'-x,y,-z'
'x,-y,z'
'x+1/2,y+1/2,z'
'-x+1/2,-y+1/2,-z'
'-x+1/2,y+1/2,-z'
'x+1/2,-y+1/2,z'
loop_
_atom_site_label
_atom_site_type_symbol
_atom_site_fract_x
_atom_site_fract_y
_atom_site_fract_z
Rb1 Rb 0.160 0.165 0.380
Rb2 Rb 0.162 0.000 0.118
Rb3 Rb 0.163 0.334 0.119
Rb4 Rb 0.164 0.500 0.381
Au1 Au 0.000 0.167 0.000
Au2 Au 0.000 0.333 0.500
Au3 Au 0.000 0.500 0.000
Br1 Br 0.000 0.000 0.500
```

=====

The following is a simulated X-ray powder pattern of LaSi4Pt. It was derived from a cell relaxed with PBE, using Cu Kα (weighted mean of Kα1 and Kα2).
No peak broadening, texture or thermal motion is included.

Peak list (10 most intense, 2θ from 10° to 90°, sorted by position)
two_theta  I (rel.)
20.49  65.7
33.76  99.5
39.82  100.0
53.17  16.7
60.39  37.7
64.48  32.2
71.01  20.8
74.80  12.4
80.98  16.4
84.63  11.6

Cell and atoms:
```
data_LaSi4Pt
_chemical_formula_sum 'La4 Si16 Pt4'
_cell_length_a 7.509
_cell_length_b 7.509
_cell_length_c 7.509
_cell_angle_alpha 90.00
_cell_angle_beta 90.00
_cell_angle_gamma 90.00
_space_group_name_H-M_alt 'F -4 3 m'
_space_group_IT_number 216
_space_group_name_Hall 'F -4 2 3'
loop_
_atom_site_label
_atom_site_type_symbol
_atom_site_fract_x
_atom_site_fract_y
_atom_site_fract_z
La1 La 0.000 0.000 0.000
Si1 Si 0.122 0.122 0.378
Pt1 Pt 0.250 0.250 0.750
```

=====

The following is a simulated X-ray powder pattern of ZrNpN3. It was derived from a cell relaxed with PBE, using Cu Kα (weighted mean of Kα1 and Kα2).
No peak broadening, texture or thermal motion is included.

Peak list (10 most intense, 2θ from 10° to 90°, sorted by position)
two_theta  I (rel.)
16.56  32.7
21.68  34.5
29.08  90.5
32.53  100.0
36.71  30.0
44.19  32.7
47.38  59.4
55.93  31.8
58.04  25.5
60.85  25.6

Cell and atoms:
```
data_ZrNpN3
_chemical_formula_sum 'Zr6 Np6 N18'
_cell_length_a 5.5052
_cell_length_b 5.5052
_cell_length_c 16.0566
_cell_angle_alpha 90.00
_cell_angle_beta 90.00
_cell_angle_gamma 120.00
_space_group_name_H-M_alt 'R 3 2'
_space_group_IT_number 155
_space_group_name_Hall 'R 3 2"'
loop_
_atom_site_label
_atom_site_type_symbol
_atom_site_fract_x
_atom_site_fract_y
_atom_site_fract_z
Zr1 Zr 0.0000 0.0000 0.1435
Np1 Np 0.0000 0.0000 0.3467
N1 N 0.0066 0.2990 0.7498
```

=====

The following is a simulated X-ray powder pattern of PmZn2Ir2. It was derived from a cell relaxed with PBE, using Cu Kα (weighted mean of Kα1 and Kα2).
No peak broadening, texture or thermal motion is included.

Peak list (10 most intense, 2θ from 10° to 90°, sorted by position)
two_theta  I (rel.)
22.35  15.6
32.32  20.8
35.24  100.0
35.73  47.3
42.58  19.6
44.85  55.9
45.28  32.1
58.62  22.9
65.30  18.1
76.43  21.0

Cell and atoms:
```
data_PmZn2Ir2
_chemical_formula_sum 'Pm4 Zn8 Ir8'
_cell_length_a 4.042
_cell_length_b 4.042
_cell_length_c 22.458
_cell_angle_alpha 90.00
_cell_angle_beta 90.00
_cell_angle_gamma 90.00
_space_group_name_H-M_alt 'I 4/m m m'
_space_group_IT_number 139
_space_group_name_Hall '-I 4 2'
loop_
_atom_site_label
_atom_site_type_symbol
_atom_site_fract_x
_atom_site_fract_y
_atom_site_fract_z
Pm1 Pm 0.000 0.000 0.130
Zn1 Zn 0.000 0.000 0.320
Zn2 Zn 0.000 0.500 0.000
Ir1 Ir 0.000 0.000 0.431
Ir2 Ir 0.000 0.500 0.250
```

=====

The following is a simulated X-ray powder pattern of K2PaAgSe4. It was derived from a cell relaxed with PBE, using Cu Kα (weighted mean of Kα1 and Kα2).
No peak broadening, texture or thermal motion is included.

Peak list (10 most intense, 2θ from 10° to 90°, sorted by position)
two_theta  I (rel.)
11.62  95.1
24.51  14.9
29.00  100.0
29.32  47.0
37.01  32.2
39.67  35.8
41.09  15.7
41.87  19.8
43.66  40.9
51.93  19.7

Cell and atoms:
```
data_K2PaAgSe4
_chemical_formula_sum 'K2 Pa1 Ag1 Se4'
_cell_length_a 7.092
_cell_length_b 4.315
_cell_length_c 8.033
_cell_angle_alpha 90.00
_cell_angle_beta 108.56
_cell_angle_gamma 90.00
_space_group_name_H-M_alt 'P 1 2/m 1'
_space_group_IT_number 10
loop_
_space_group_symop_operation_xyz
'x,y,z'
'-x,-y,-z'
'-x,y,-z'
'x,-y,z'
loop_
_atom_site_label
_atom_site_type_symbol
_atom_site_fract_x
_atom_site_fract_y
_atom_site_fract_z
K1 K 0.000 0.000 0.000
K2 K 0.500 0.500 0.000
Pa1 Pa 0.000 0.500 0.500
Ag1 Ag 0.500 0.000 0.500
Se1 Se 0.220 0.000 0.706
Se2 Se 0.248 0.500 0.301
```

=====

The following is a simulated X-ray powder pattern of PtSe. It was derived from a cell relaxed with PBE, using Cu Kα (weighted mean of Kα1 and Kα2).
No peak broadening, texture or thermal motion is included.

Peak list (10 most intense, 2θ from 10° to 90°, sorted by position)
two_theta  I (rel.)
15.43  33.9
18.12  13.9
33.10  58.1
33.48  100.0
47.51  14.8
47.79  74.2
48.62  19.2
59.12  15.9
60.08  20.4
79.34  21.8

Cell and atoms:
```
data_PtSe
_chemical_formula_sum 'Pt6 Se6'
_cell_length_a 3.745
_cell_length_b 5.413
_cell_length_c 11.482
_cell_angle_alpha 90.00
_cell_angle_beta 90.00
_cell_angle_gamma 90.00
_space_group_name_H-M_alt 'I m m 2'
_space_group_IT_number 44
loop_
_space_group_symop_operation_xyz
'x,y,z'
'-x,-y,z'
'-x,y,z'
'x,-y,z'
'x+1/2,y+1/2,z+1/2'
'-x+1/2,-y+1/2,z+1/2'
'-x+1/2,y+1/2,z+1/2'
'x+1/2,-y+1/2,z+1/2'
loop_
_atom_site_label
_atom_site_type_symbol
_atom_site_fract_x
_atom_site_fract_y
_atom_site_fract_z
Pt1 Pt 0.000 0.000 0.000
Pt2 Pt 0.000 0.000 0.328
Pt3 Pt 0.000 0.500 0.340
Se1 Se 0.000 0.000 0.704
Se2 Se 0.000 0.500 0.677
Se3 Se 0.000 0.500 0.971
```